For NbCr3Cu2S8, a crystal structure in Alexandria, relaxed with PBE gives the calculated XRD peak list in this record (a wavelength of 1.5418 Å).
Neutral-atom scattering factors, no anomalous dispersion.

Atomic structure:
a = 6.033 Å, b = 6.931 Å, c = 12.491 Å
α = 90.15°, β = 98.38°, γ = 90.23°
Element x y z (fractional)
Nb (0.000, 0.000, 0.000)
Nb (0.111, 0.227, 0.500)
Cr (0.047, 0.483, 0.005)
Cr (0.080, 0.749, 0.515)
Cr (0.552, 0.240, 0.001)
Cr (0.559, 0.742, 0.007)
Cr (0.576, 0.493, 0.509)
Cr (0.577, 0.995, 0.508)
Cu (0.012, 0.736, 0.297)
Cu (0.136, 0.253, 0.716)
Cu (0.486, 0.242, 0.222)
Cu (0.841, 0.744, 0.797)
S (0.187, 0.733, 0.901)
S (0.188, 0.242, 0.894)
S (0.283, 0.502, 0.620)
S (0.293, 0.990, 0.627)
S (0.373, 0.743, 0.404)
S (0.401, 0.243, 0.387)
S (0.406, 0.992, 0.108)
S (0.415, 0.491, 0.107)
S (0.656, 0.989, 0.879)
S (0.689, 0.496, 0.897)
S (0.772, 0.746, 0.615)
S (0.780, 0.243, 0.613)
S (0.869, 0.990, 0.393)
S (0.880, 0.499, 0.403)
S (0.907, 0.243, 0.122)
S (0.919, 0.731, 0.118)

Principal peaks in the range 2θ from 15° to 90°, sorted by position:
- 2θ 31.3, intensity 54
- 2θ 32.2, intensity 67
- 2θ 35.7, intensity 66
- 2θ 38.8, intensity 41
- 2θ 45.2, intensity 43
- 2θ 45.8, intensity 100
- 2θ 49.4, intensity 44
- 2θ 52.5, intensity 41
- 2θ 52.7, intensity 44
- 2θ 52.8, intensity 67